For Li6NdAg6, a cell relaxed with GGA-PBE gives the calculated XRD peak list in this record (Cu Ka).
Peak positions follow from Bragg's law for the DFT cell and can differ from measured ones.

The 8 most intense peaks (2θ = 10–90°), in order of rising 2θ:
- 18.97°, d = 4.677 Å, I = 74
- 33.29°, d = 2.691 Å, I = 100
- 33.76°, d = 2.655 Å, I = 47
- 38.60°, d = 2.333 Å, I = 87
- 39.01°, d = 2.309 Å, I = 28
- 43.33°, d = 2.088 Å, I = 18
- 63.63°, d = 1.462 Å, I = 19
- 69.67°, d = 1.350 Å, I = 27

Crystal structure
```
data_Li6NdAg6
_chemical_formula_sum 'Li12 Nd2 Ag12'
_cell_length_a 5.309
_cell_length_b 9.354
_cell_length_c 9.370
_cell_angle_alpha 90.00
_cell_angle_beta 90.00
_cell_angle_gamma 90.00
_space_group_name_H-M_alt 'I m m m'
_space_group_IT_number 71
_space_group_name_Hall '-I 2 2'
loop_
_atom_site_label
_atom_site_fract_x
_atom_site_fract_y
_atom_site_fract_z
_atom_site_occupancy
Li1 0.000 0.231 0.000 1
Li2 0.250 0.250 0.250 1
Nd1 0.000 0.500 0.500 1
Ag1 0.000 0.000 0.209 1
Ag2 0.000 0.153 0.500 1
Ag3 0.000 0.500 0.152 1
```